Theoretical PXRD pattern
Compound: HoScGa2Pd4
Radiation: Cu Ka
Structure: a structure optimized by DFT (PBE)
Intensities are scaled so that the largest is 100.

The 10 most intense peaks (10° ≤ 2θ ≤ 80°), low angle first:
(hkl), 2theta, Rel. int.
0 0 1, 10.01, 10
1 0 0, 23.60, 25
1 0 2, 31.19, 21
1 0 3, 38.81, 100
1 1 0, 41.48, 84
2 0 3, 58.10, 30
1 0 6, 68.41, 14
2 1 3, 73.89, 29
3 0 0, 75.68, 14
1 1 6, 78.42, 10

Structural model:
abc: 4.3535 4.3535 8.8333
angles: 90.00 90.00 120.00
Space group P-6m2 (No. 187)
Unique sites:
Ho 0.0000 0.0000 0.0000 x1
Sc 0.6667 0.3333 0.5000 x1
Ga 0.3333 0.6667 0.2620 x2
Pd 0.0000 0.0000 0.3399 x2
Pd 0.6667 0.3333 0.1717 x2

=====

Theoretical PXRD pattern
Compound: Dy2ErTmAl2
Radiation: Cu Ka
Structure: a structure optimized by DFT (PBE)
Intensities are scaled so that the largest is 100.

The 10 most intense peaks (10° ≤ 2θ ≤ 80°), low angle first:
(hkl), 2theta, Rel. int.
1 0 0, 19.67, 11
1 0 1, 23.89, 52
1 0 2, 33.66, 100
1 1 0, 34.41, 89
2 0 1, 42.33, 12
2 0 2, 48.90, 35
0 0 4, 55.69, 18
2 1 2, 61.16, 36
3 0 0, 61.64, 17
1 1 4, 67.18, 26

Structural model:
abc: 5.2122 5.2122 6.5962
angles: 90.00 90.00 120.00
Space group P-6m2 (No. 187)
Unique sites:
Dy 0.0000 0.0000 0.2505 x2
Er 0.6667 0.3333 0.0000 x1
Tm 0.3333 0.6667 0.5000 x1
Al 0.3333 0.6667 0.0000 x1
Al 0.6667 0.3333 0.5000 x1

=====

Theoretical PXRD pattern
Compound: Y3Tm3Te2Os
Radiation: Cu Ka
Structure: a structure optimized by DFT (PBE)
Intensities are scaled so that the largest is 100.

The 10 most intense peaks (10° ≤ 2θ ≤ 80°), low angle first:
(hkl), 2theta, Rel. int.
1 0 0, 12.41, 59
1 1 1, 30.95, 87
2 1 0, 33.23, 66
2 0 1, 33.46, 97
3 0 0, 37.83, 46
2 1 1, 40.17, 100
0 0 2, 44.71, 29
2 1 2, 56.83, 29
3 0 2, 59.97, 24
3 2 1, 61.06, 41

Structural model:
abc: 8.2376 8.2376 4.0534
angles: 90.00 90.00 120.00
Space group P-62m (No. 189)
Unique sites:
Y 0.0000 0.6087 0.0000 x3
Tm 0.0000 0.2362 0.5000 x3
Te 0.3333 0.6667 0.5000 x2
Os 0.0000 0.0000 0.0000 x1

=====

Theoretical PXRD pattern
Compound: Ga2Ni9
Radiation: Cu Ka
Structure: a structure optimized by DFT (PBE)
Intensities are scaled so that the largest is 100.

The 10 most intense peaks (10° ≤ 2θ ≤ 80°), low angle first:
(hkl), 2theta, Rel. int.
0 0 4, 10.10, 18
1 0 5, 43.13, 33
1 0 6, 44.00, 100
1 0 7, 45.05, 6
0 0 18, 46.66, 13
0 1 11, 50.44, 32
0 1 12, 52.08, 38
1 1 0, 74.83, 21
1 0 23, 76.00, 14
1 0 24, 78.68, 5

Structural model:
abc: 2.5381 2.5381 35.0398
angles: 90.00 90.00 120.00
Space group P-3m1 (No. 164)
Unique sites:
Ga 0.3333 0.6667 0.2890 x2
Ni 0.0000 0.0000 0.0000 x1
Ni 0.0000 0.0000 0.1714 x2
Ni 0.3333 0.6667 0.1144 x2
Ni 0.3333 0.6667 0.7712 x2
Ni 0.3333 0.6667 0.9427 x2

=====

Theoretical PXRD pattern
Compound: HfCu2TeSeS
Radiation: Cu Ka
Structure: a structure optimized by DFT (PBE)
Intensities are scaled so that the largest is 100.

The 10 most intense peaks (10° ≤ 2θ ≤ 80°), low angle first:
(hkl), 2theta, Rel. int.
0 0 1, 12.47, 90
2 0 -1, 14.51, 69
3 1 0, 26.61, 92
4 0 -2, 29.25, 51
3 1 1, 30.30, 99
5 1 -1, 33.89, 53
7 1 -1, 40.85, 50
7 1 1, 43.64, 58
1 1 -3, 44.35, 100
0 2 0, 46.08, 52

Structural model:
abc: 19.2605 3.9395 7.1656
angles: 90.00 97.72 90.00
Space group C2/m (No. 12)
Unique sites:
Hf 0.1375 0.0000 0.0508 x4
Cu 0.0409 0.5000 0.1664 x4
Cu 0.2082 0.0000 0.4284 x4
Te 0.2502 0.0000 0.7864 x4
Se 0.0798 0.0000 0.3534 x4
S 0.0826 0.5000 0.8691 x4

=====

Theoretical PXRD pattern
Compound: Li2Mg2AlSnPt2
Radiation: Cu Ka
Structure: a structure optimized by DFT (PBE)
Intensities are scaled so that the largest is 100.

The 10 most intense peaks (10° ≤ 2θ ≤ 80°), low angle first:
(hkl), 2theta, Rel. int.
1 0 1, 24.26, 100
1 1 0, 28.22, 9
1 1 2, 40.03, 64
2 0 0, 40.33, 32
1 0 3, 47.10, 16
2 1 1, 47.62, 34
2 2 0, 58.35, 11
2 1 3, 63.70, 13
2 0 4, 72.53, 10
3 1 2, 73.12, 22

Structural model:
abc: 4.4729 4.4729 6.4155
angles: 90.00 90.00 90.00
Space group P-4m2 (No. 115)
Unique sites:
Li 0.0000 0.5000 0.2349 x2
Mg 0.0000 0.0000 0.0000 x1
Mg 0.5000 0.5000 0.5000 x1
Al 0.5000 0.5000 0.0000 x1
Sn 0.0000 0.0000 0.5000 x1
Pt 0.0000 0.5000 0.7685 x2

=====

Theoretical PXRD pattern
Compound: YHoSeO2
Radiation: Cu Ka
Structure: a structure optimized by DFT (PBE)
Intensities are scaled so that the largest is 100.

The 10 most intense peaks (10° ≤ 2θ ≤ 80°), low angle first:
(hkl), 2theta, Rel. int.
0 0 1, 13.10, 10
1 0 1, 30.11, 100
0 1 2, 38.10, 45
0 0 3, 40.04, 11
1 1 0, 47.67, 34
1 0 3, 48.95, 17
0 2 1, 57.42, 16
2 0 2, 62.59, 11
1 1 3, 63.96, 16
2 1 1, 77.76, 13

Structural model:
abc: 3.8156 3.8156 6.7561
angles: 90.00 90.00 120.00
Space group P3m1 (No. 156)
Unique sites:
Y 0.0000 0.0000 0.0000 x1
Ho 0.3333 0.6667 0.5800 x1
Se 0.6667 0.3333 0.2901 x1
O 0.0000 0.0000 0.6605 x1
O 0.3333 0.6667 0.9138 x1

=====

Theoretical PXRD pattern
Compound: DyRe4SiSn
Radiation: Cu Ka
Structure: a structure optimized by DFT (PBE)
Intensities are scaled so that the largest is 100.

The 10 most intense peaks (10° ≤ 2θ ≤ 80°), low angle first:
(hkl), 2theta, Rel. int.
0 0 2, 11.90, 70
1 0 4, 32.34, 10
1 1 3, 35.46, 100
0 2 0, 43.26, 81
2 0 0, 43.65, 27
1 1 7, 53.17, 15
2 2 0, 63.17, 18
1 3 3, 74.33, 12
3 1 3, 74.83, 12
1 3 5, 79.39, 9

Structural model:
abc: 4.1476 4.1793 14.8712
angles: 90.00 90.00 90.00
Space group Amm2 (No. 38)
Unique sites:
Dy 0.0000 0.0000 0.0000 x2
Re 0.0000 0.0000 0.3254 x2
Re 0.0000 0.0000 0.7261 x2
Re 0.5000 0.0000 0.2222 x2
Re 0.5000 0.0000 0.8293 x2
Si 0.5000 0.0000 0.4236 x2
Sn 0.5000 0.0000 0.5993 x2

=====

Theoretical PXRD pattern
Compound: MgTa2N3
Radiation: Cu Ka
Structure: a structure optimized by DFT (PBE)
Intensities are scaled so that the largest is 100.

The 10 most intense peaks (10° ≤ 2θ ≤ 80°), low angle first:
(hkl), 2theta, Rel. int.
0 0 2, 16.99, 46
1 0 2, 26.08, 28
0 0 4, 34.36, 45
1 1 1, 35.45, 89
1 1 2, 38.57, 100
1 1 3, 43.34, 78
1 1 5, 56.44, 34
3 0 0, 61.55, 36
1 1 6, 64.36, 32
0 0 8, 72.43, 40

Structural model:
abc: 5.2196 5.2196 10.4386
angles: 90.00 90.00 120.00
Space group P6_3/mcm (No. 193)
Unique sites:
Mg 0.3333 0.6667 0.0000 x4
Ta 0.0000 0.0000 0.0000 x2
Ta 0.0000 0.3357 0.2500 x6
N 0.0000 0.3306 0.6198 x12

=====

Theoretical PXRD pattern
Compound: AlFe6As
Radiation: Cu Ka
Structure: a structure optimized by DFT (PBE)
Intensities are scaled so that the largest is 100.

The 10 most intense peaks (10° ≤ 2θ ≤ 80°), low angle first:
(hkl), 2theta, Rel. int.
1 1 1, 19.66, 5
2 0 0, 22.74, 100
3 1 1, 38.17, 32
2 2 2, 39.94, 63
4 0 0, 46.45, 72
3 3 1, 50.90, 54
4 2 0, 52.32, 21
3 3 3, 61.63, 27
4 4 0, 67.79, 33
6 0 0, 72.52, 10

Structural model:
abc: 7.8202 7.8202 7.8202
angles: 90.00 90.00 90.00
Space group F-43m (No. 216)
Unique sites:
Al 0.0000 0.0000 0.0000 x4
Fe 0.0373 0.2500 0.7500 x24
As 0.2500 0.2500 0.2500 x4

=====

Theoretical PXRD pattern
Compound: Si2Ni7P5
Radiation: Cu Ka
Structure: a structure optimized by DFT (PBE)
Intensities are scaled so that the largest is 100.

The 10 most intense peaks (10° ≤ 2θ ≤ 80°), low angle first:
(hkl), 2theta, Rel. int.
7 1 0, 30.24, 56
0 2 0, 30.30, 20
7 1 1, 35.46, 29
0 0 2, 36.60, 12
5 2 1, 40.35, 13
7 1 2, 48.19, 100
2 3 1, 50.58, 14
14 0 0, 53.68, 18
7 3 0, 53.79, 25
14 2 2, 75.01, 13

Structural model:
abc: 23.9068 5.8991 4.9109
angles: 90.00 90.00 90.00
Space group Pbcn (No. 60)
Unique sites:
Si 0.2174 0.1576 0.2225 x8
Ni 0.0000 0.0000 0.0000 x4
Ni 0.0739 0.4542 0.5015 x8
Ni 0.1399 0.0518 0.4930 x8
Ni 0.2056 0.4672 0.5012 x8
P 0.0000 0.3318 0.7500 x4
P 0.0726 0.1776 0.1878 x8
P 0.1419 0.3143 0.8138 x8

=====

Theoretical PXRD pattern
Compound: TbSiHO4
Radiation: Cu Ka
Structure: a structure optimized by DFT (PBE)
Intensities are scaled so that the largest is 100.

The 10 most intense peaks (10° ≤ 2θ ≤ 80°), low angle first:
(hkl), 2theta, Rel. int.
1 1 0, 18.99, 86
0 1 1, 19.24, 64
2 0 0, 25.37, 100
0 0 2, 26.13, 97
1 1 -2, 30.86, 28
1 2 -1, 33.21, 80
1 2 1, 34.76, 69
3 2 -1, 48.79, 29
1 2 -3, 49.67, 33
3 2 1, 52.13, 35

Structural model:
abc: 7.1036 6.2622 6.8997
angles: 90.00 98.73 90.00
Space group P2_1/c (No. 14)
Unique sites:
Tb 0.2237 0.1371 0.4928 x4
Si 0.2489 0.6236 0.4832 x4
H 0.3952 0.6287 0.8331 x4
O 0.0753 0.7077 0.9752 x4
O 0.2371 0.0541 0.8110 x4
O 0.2869 0.0184 0.1837 x4
O 0.4328 0.7056 0.9675 x4